Diffraction record for TlNiMo2. The powder diffractogram is calculated, not measured: it uses a cell relaxed with GGA-PBE and Cu Kα.
Neutral-atom scattering factors, no anomalous dispersion.

Atomic structure:
Lattice parameters (Å, degrees): 5.105 5.105 5.105 141.58 126.33 67.92
Atoms (fractional coordinates):
1 Tl 0.000 0.000 0.000
2 Ni 0.247 0.747 0.500
3 Mo 0.490 0.490 0.000
4 Mo 0.719 0.219 0.500

The 8 most intense peaks (2θ = 10–90°), most intense first:
2θ 39.43, rel. 100
2θ 39.09, rel. 26
2θ 42.71, rel. 19
2θ 71.05, rel. 17
2θ 59.26, rel. 15
2θ 20.98, rel. 12
2θ 75.99, rel. 12
2θ 84.86, rel. 10

---

Diffraction record for UNi10Mo2. The powder diffractogram is calculated, not measured: it uses a cell relaxed with GGA-PBE and Cu Kα.
Neutral-atom scattering factors, no anomalous dispersion.

Atomic structure:
Lattice parameters (Å, degrees): 8.378 6.553 6.245 81.75 50.72 47.54
Atoms (fractional coordinates):
1 U 0.000 0.000 0.000
2 Ni 0.000 0.000 0.500
3 Ni 0.012 0.647 0.353
4 Ni 0.290 0.507 0.493
5 Ni 0.353 0.988 0.012
6 Ni 0.493 0.710 0.290
7 Ni 0.500 0.500 0.000
8 Ni 0.507 0.290 0.710
9 Ni 0.647 0.012 0.988
10 Ni 0.710 0.493 0.507
11 Ni 0.988 0.353 0.647
12 Mo 0.000 0.500 0.000
13 Mo 0.500 0.000 0.500

The 8 most intense peaks (2θ = 10–90°), most intense first:
2θ 43.14, rel. 100
2θ 37.20, rel. 66
2θ 43.26, rel. 66
2θ 44.18, rel. 61
2θ 42.27, rel. 59
2θ 79.27, rel. 28
2θ 33.30, rel. 24
2θ 30.61, rel. 24

---

Diffraction record for Zn2Ni3Mo. The powder diffractogram is calculated, not measured: it uses a cell relaxed with GGA-PBE and Cu Kα.
Neutral-atom scattering factors, no anomalous dispersion.

Atomic structure:
Lattice parameters (Å, degrees): 2.682 2.682 10.416 90.00 90.00 90.00
Atoms (fractional coordinates):
1 Zn 0.000 0.000 0.160
2 Zn 0.000 0.000 0.840
3 Ni 0.500 0.500 0.000
4 Ni 0.500 0.500 0.323
5 Ni 0.500 0.500 0.677
6 Mo 0.000 0.000 0.500

The 8 most intense peaks (2θ = 10–90°), most intense first:
2θ 42.60, rel. 100
2θ 47.97, rel. 35
2θ 85.69, rel. 24
2θ 74.03, rel. 17
2θ 52.73, rel. 12
2θ 70.18, rel. 11
2θ 37.73, rel. 2
2θ 82.33, rel. 1

---

Diffraction record for ZnNiMo2. The powder diffractogram is calculated, not measured: it uses a cell relaxed with GGA-PBE and Cu Kα.
Neutral-atom scattering factors, no anomalous dispersion.

Atomic structure:
Lattice parameters (Å, degrees): 2.662 2.662 8.248 90.00 90.00 102.97
Atoms (fractional coordinates):
1 Zn 0.000 0.000 0.000
2 Ni 0.500 0.500 0.774
3 Mo 0.000 0.000 0.542
4 Mo 0.500 0.500 0.266

The 8 most intense peaks (2θ = 10–90°), most intense first:
2θ 41.11, rel. 100
2θ 43.45, rel. 22
2θ 43.91, rel. 18
2θ 78.14, rel. 14
2θ 55.41, rel. 12
2θ 63.48, rel. 12
2θ 78.79, rel. 10
2θ 89.20, rel. 9

---

Diffraction record for Zn3Ni12Mo. The powder diffractogram is calculated, not measured: it uses a cell relaxed with GGA-PBE and Cu Kα.
Neutral-atom scattering factors, no anomalous dispersion.

Atomic structure:
Lattice parameters (Å, degrees): 3.592 3.592 14.346 90.00 90.00 90.00
Atoms (fractional coordinates):
1 Zn 0.000 0.000 0.000
2 Zn 0.000 0.000 0.247
3 Zn 0.000 0.000 0.753
4 Ni 0.000 0.500 0.124
5 Ni 0.000 0.500 0.375
6 Ni 0.000 0.500 0.625
7 Ni 0.000 0.500 0.876
8 Ni 0.500 0.000 0.124
9 Ni 0.500 0.000 0.375
10 Ni 0.500 0.000 0.625
11 Ni 0.500 0.000 0.876
12 Ni 0.500 0.500 0.000
13 Ni 0.500 0.500 0.249
14 Ni 0.500 0.500 0.500
15 Ni 0.500 0.500 0.751
16 Mo 0.000 0.000 0.500

The 5 most intense peaks (2θ = 10–90°), most intense first:
2θ 43.67, rel. 100
2θ 50.86, rel. 47
2θ 74.79, rel. 27
2θ 24.80, rel. 1
2θ 35.35, rel. 1

---

Diffraction record for NpMo5. The powder diffractogram is calculated, not measured: it uses a cell relaxed with GGA-PBE and Cu Kα.
Neutral-atom scattering factors, no anomalous dispersion.

Atomic structure:
Lattice parameters (Å, degrees): 7.236 7.236 3.178 90.00 90.00 143.04
Atoms (fractional coordinates):
1 Np 0.000 0.000 0.000
2 Mo 0.168 0.832 0.500
3 Mo 0.325 0.675 0.000
4 Mo 0.500 0.500 0.500
5 Mo 0.675 0.325 0.000
6 Mo 0.832 0.168 0.500

The 8 most intense peaks (2θ = 10–90°), most intense first:
2θ 39.73, rel. 100
2θ 39.28, rel. 26
2θ 39.39, rel. 25
2θ 71.50, rel. 17
2θ 71.65, rel. 17
2θ 56.84, rel. 17
2θ 72.37, rel. 17
2θ 85.62, rel. 11